(1)
Simulated powder diffraction line list of SmHoEr5Tm2 for λ = 1.5418 Å (Cu Kα), from a crystal structure in Alexandria, relaxed with GGA-PBE.
No peak broadening, texture or thermal motion is included.

Peak list (10 most intense, 2θ = 10–90°, by angle)
Position (°2θ), Rel. int.
28.6, 18.4
30.6, 38.8
32.3, 42.1
32.8, 100.0
34.2, 12.4
43.7, 11.7
51.8, 11.3
57.9, 21.4
60.7, 14.2
62.4, 13.0

Crystal structure
```
SmHoEr5Tm2
1.0
2.7710 -9.8098 0.0000
2.7710 9.8098 0.0000
0.0000 0.0000 10.4753
Sm Ho Er Tm
2 2 10 4
Cartesian
2.7710 8.1509 5.2377
2.7710 -8.1509 0.0000
2.7710 3.9178 0.6234
2.7710 -3.9178 5.8611
2.7710 9.3870 8.2178
2.7710 7.6289 0.7379
2.7710 5.8682 7.9302
2.7710 5.5209 3.7568
2.7710 0.3518 0.7584
2.7710 -0.3518 5.9961
2.7710 -5.5209 8.9945
2.7710 -5.8682 2.6925
2.7710 -7.6289 5.9756
2.7710 -9.3870 2.9802
2.7710 2.2199 3.8320
2.7710 2.1609 8.2155
2.7710 -2.1609 2.9779
2.7710 -2.2199 9.0697
```


(2)
Simulated powder diffraction line list of Cs4KPb3F12 for λ = 1.5418 Å (Cu Kα), from a crystal structure in Alexandria, relaxed with GGA-PBE.
No peak broadening, texture or thermal motion is included.

Peak list (10 most intense, 2θ = 10–90°, by angle)
Position (°2θ), Rel. int.
12.9, 11.2
22.4, 6.6
25.9, 100.0
37.0, 32.9
45.7, 44.1
53.3, 22.1
60.2, 20.0
66.6, 7.3
72.8, 23.3
84.6, 12.1

Crystal structure
```
Cs4KPb3F12
1.0
-4.8615 4.8615 4.8615
4.8615 -4.8615 4.8615
4.8615 4.8615 -4.8615
Cs K Pb F
4 1 3 12
Cartesian
2.4307 2.4307 -2.4307
2.4307 -2.4307 2.4307
-2.4307 2.4307 2.4307
2.4307 2.4307 2.4307
0.0000 0.0000 0.0000
4.8615 0.0000 0.0000
0.0000 4.8615 0.0000
0.0000 0.0000 4.8615
2.5524 0.0000 0.0000
7.1706 0.0000 0.0000
4.8615 2.4307 0.0000
4.8615 0.0000 2.4307
0.0000 2.5524 0.0000
0.0000 0.0000 2.5524
2.4307 4.8615 0.0000
2.4307 0.0000 4.8615
0.0000 7.1706 0.0000
0.0000 0.0000 7.1706
0.0000 4.8615 2.4307
0.0000 2.4307 4.8615
```


(3)
Simulated powder diffraction line list of RbHfSe3 for λ = 1.5418 Å (Cu Kα), from a crystal structure in Alexandria, relaxed with GGA-PBE.
No peak broadening, texture or thermal motion is included.

Peak list (10 most intense, 2θ = 10–90°, by angle)
Position (°2θ), Rel. int.
16.8, 63.5
23.9, 65.1
29.4, 18.1
34.0, 100.0
38.2, 33.2
42.0, 29.7
48.9, 71.2
52.1, 17.2
60.9, 24.5
81.8, 32.1

Crystal structure
```
RbHfSe3
1.0
5.2679 0.0000 0.0000
0.0000 5.2679 0.0000
0.0000 0.0000 5.2679
Rb Hf Se
1 1 3
Cartesian
0.0000 0.0000 0.0000
2.6339 2.6339 2.6339
0.0000 2.6339 2.6339
2.6339 0.0000 2.6339
2.6339 2.6339 0.0000
```


(4)
Simulated powder diffraction line list of Ag3BiF7 for λ = 1.5418 Å (Cu Kα), from a crystal structure in Alexandria, relaxed with GGA-PBE.
No peak broadening, texture or thermal motion is included.

Peak list (10 most intense, 2θ = 10–90°, by angle)
Position (°2θ), Rel. int.
26.2, 62.0
27.1, 44.6
27.8, 100.0
31.3, 40.7
32.1, 21.0
43.3, 19.4
44.8, 36.2
46.0, 31.3
46.3, 17.9
53.9, 21.4

Crystal structure
```
Ag3BiF7
1.0
4.1799 -3.9247 0.0000
4.1799 3.9247 0.0000
-3.9700 0.0000 5.5829
Ag Bi F
3 1 7
Cartesian
0.0000 0.0000 0.0000
2.3214 2.0344 2.8288
2.3214 -2.0344 2.8288
0.5189 0.0000 5.4524
0.4411 1.9145 4.1163
-1.6104 0.0000 4.8991
3.9812 1.7194 1.2946
2.4085 0.0000 3.8242
0.4411 -1.9145 4.1163
3.9812 -1.7194 1.2946
6.3560 0.0000 1.5177
```


(5)
Simulated powder diffraction line list of LaThSi2 for λ = 1.5418 Å (Cu Kα), from a crystal structure in Alexandria, relaxed with GGA-PBE.
No peak broadening, texture or thermal motion is included.

Peak list (10 most intense, 2θ = 10–90°, by angle)
Position (°2θ), Rel. int.
21.3, 46.1
27.5, 68.3
31.0, 100.0
31.4, 55.6
32.4, 29.1
38.8, 35.2
40.1, 23.1
49.3, 28.7
51.4, 23.6
56.1, 21.9

Crystal structure
```
LaThSi2
1.0
4.0047 0.0000 0.0000
0.0000 2.2475 5.5266
0.0000 -2.2475 5.5266
La Th Si
1 1 2
Cartesian
0.0000 0.0000 0.0000
2.0024 0.0000 3.0823
0.0000 0.0000 7.9049
2.0024 0.0000 6.3244
```


(6)
Simulated powder diffraction line list of Er3Ge2Rh3 for λ = 1.5418 Å (Cu Kα), from a crystal structure in Alexandria, relaxed with GGA-PBE.
No peak broadening, texture or thermal motion is included.

Peak list (10 most intense, 2θ = 10–90°, by angle)
Position (°2θ), Rel. int.
31.1, 62.8
33.8, 100.0
34.0, 43.3
34.6, 39.8
35.1, 66.1
35.7, 39.4
37.6, 69.1
39.0, 76.1
39.8, 91.2
42.3, 60.0

Crystal structure
```
Er3Ge2Rh3
1.0
7.4489 0.0000 0.0000
0.0000 15.0852 0.0000
0.0000 0.0000 5.5394
Er Ge Rh
12 8 12
Cartesian
0.1724 1.5906 0.7512
0.1724 5.9520 0.7512
1.2428 3.7713 3.3536
2.4816 11.3139 0.5839
3.5521 9.1333 3.5209
3.5521 13.4946 3.5209
3.8968 1.5906 2.0185
3.8968 5.9520 2.0185
4.9673 3.7713 4.9554
6.2061 11.3139 2.1858
7.2765 9.1333 4.7882
7.2765 13.4946 4.7882
0.9095 9.1959 2.0389
0.9095 13.4319 2.0389
2.8150 1.6533 4.8086
2.8150 5.8893 4.8086
4.6339 9.1959 0.7308
4.6339 13.4319 0.7308
6.5394 1.6533 3.5004
6.5394 5.8893 3.5004
1.2980 0.5122 3.2682
1.2980 7.0304 3.2682
1.3885 11.3139 3.4374
2.3360 3.7713 0.6678
2.4265 8.0548 0.4985
2.4265 14.5730 0.4985
5.0225 0.5122 5.0409
5.0225 7.0304 5.0409
5.1129 11.3139 4.8716
6.0605 3.7713 2.1019
6.1509 8.0548 2.2712
6.1509 14.5730 2.2712
```


(7)
Simulated powder diffraction line list of Th2Si3Pt for λ = 1.5418 Å (Cu Kα), from a crystal structure in Alexandria, relaxed with GGA-PBE.
No peak broadening, texture or thermal motion is included.

Peak list (10 most intense, 2θ = 10–90°, by angle)
Position (°2θ), Rel. int.
24.6, 31.6
25.1, 15.1
32.7, 100.0
33.1, 52.9
42.9, 17.2
43.2, 16.9
43.8, 34.1
50.3, 14.7
55.2, 23.1
63.2, 22.1

Crystal structure
```
Th2Si3Pt
1.0
4.1873 0.0000 0.0000
0.0000 4.2151 0.0000
0.0000 0.0000 7.1075
Th Si Pt
2 3 1
Cartesian
0.0000 0.0000 0.0000
0.0000 2.1076 3.4920
2.0936 0.0000 2.3276
2.0936 0.0000 4.7004
2.0936 2.1076 1.1738
2.0936 2.1076 5.8976
```


(8)
Simulated powder diffraction line list of NiP2SeN for λ = 1.5418 Å (Cu Kα), from a crystal structure in Alexandria, relaxed with GGA-PBE.
No peak broadening, texture or thermal motion is included.

Peak list (10 most intense, 2θ = 10–90°, by angle)
Position (°2θ), Rel. int.
14.3, 86.0
24.1, 74.2
28.8, 100.0
30.0, 81.4
30.4, 85.1
43.5, 41.6
43.7, 32.9
43.9, 42.4
49.2, 32.8
49.7, 33.1

Crystal structure
```
NiP2SeN
1.0
3.4498 0.0000 0.0000
-1.6927 3.8979 0.0000
-0.0820 -2.1034 6.2010
Ni P Se N
1 2 1 1
Cartesian
0.0000 0.0000 0.0000
0.0996 0.1427 2.1294
1.8247 -0.8796 3.1887
1.6440 -0.6032 5.6080
0.5366 1.5430 2.7995
```


(9)
Simulated powder diffraction line list of Y3Tm5Co2 for λ = 1.5418 Å (Cu Kα), from a crystal structure in Alexandria, relaxed with GGA-PBE.
No peak broadening, texture or thermal motion is included.

Peak list (10 most intense, 2θ = 10–90°, by angle)
Position (°2θ), Rel. int.
29.4, 93.3
30.2, 87.0
34.0, 100.0
35.7, 43.3
47.8, 20.0
50.1, 65.0
57.6, 28.4
59.0, 27.7
61.1, 18.0
62.9, 16.7

Crystal structure
```
Y3Tm5Co2
1.0
-5.0295 7.3036 3.8052
5.0295 -7.3036 3.8052
5.0295 7.3036 -3.8052
Y Tm Co
6 10 4
Cartesian
7.4677 1.8264 0.0000
0.0000 0.0000 1.9026
2.4382 5.4771 0.0000
2.5913 1.8264 3.8052
0.0000 0.0000 5.7078
-2.4382 5.4771 3.8052
5.0295 -3.5949 1.9026
2.6068 1.8169 0.0000
5.0295 0.0000 1.9026
2.6068 -1.8169 3.8052
5.0295 3.5949 1.9026
0.0000 3.7087 1.9026
2.4227 9.1205 0.0000
0.0000 7.3036 1.9026
2.4227 5.4866 3.8052
0.0000 10.8984 1.9026
0.0345 1.9395 0.0000
5.0641 5.3641 0.0000
-0.0345 1.9395 3.8052
4.9950 5.3641 3.8052
```


(10)
Simulated powder diffraction line list of ZnPd2F8 for λ = 1.5418 Å (Cu Kα), from a crystal structure in Alexandria, relaxed with GGA-PBE.
No peak broadening, texture or thermal motion is included.

Peak list (10 most intense, 2θ = 10–90°, by angle)
Position (°2θ), Rel. int.
26.4, 97.0
27.3, 100.0
46.0, 16.3
47.7, 43.6
48.3, 19.9
54.4, 20.8
56.4, 26.4
61.9, 17.5
63.3, 15.1
82.2, 14.2

Crystal structure
```
ZnPd2F8
1.0
6.5269 0.0000 0.0000
-3.2635 5.6525 0.0000
0.0000 0.0000 4.2073
Zn Pd F
1 2 8
Cartesian
0.0000 0.0000 0.0000
0.0000 3.7683 3.1888
3.2635 1.8842 1.0184
-0.0063 1.7486 3.1544
-1.7460 4.7836 3.1544
1.5112 0.8797 1.0529
0.0000 3.7683 1.0825
3.2635 1.8842 3.1248
1.7522 4.7727 3.1544
5.0094 0.8689 1.0529
3.2697 3.9038 1.0529
```


(11)
Simulated powder diffraction line list of CaBiPt5 for λ = 1.5418 Å (Cu Kα), from a crystal structure in Alexandria, relaxed with GGA-PBE.
No peak broadening, texture or thermal motion is included.

Peak list (10 most intense, 2θ = 10–90°, by angle)
Position (°2θ), Rel. int.
20.5, 73.2
33.7, 51.8
35.2, 73.5
39.1, 88.7
40.5, 46.1
41.6, 100.0
41.9, 98.9
44.6, 39.3
64.0, 26.2
67.4, 28.1

Crystal structure
```
CaBiPt5
1.0
8.9097 0.0000 0.0000
0.0000 5.5457 0.0000
0.0000 0.0000 11.1380
Ca Bi Pt
4 4 20
Cartesian
2.1139 1.3864 0.6524
2.3409 4.1593 6.2214
6.5688 1.3864 4.9166
6.7957 4.1593 10.4856
1.0858 1.3864 3.9994
3.3690 4.1593 9.5684
5.5407 1.3864 1.5696
7.8239 4.1593 7.1386
0.8119 2.7842 9.1469
0.8119 5.5344 9.1469
0.8796 4.1593 0.3366
0.9144 1.3864 6.7129
1.3775 4.1593 2.9982
3.0773 1.3864 8.5672
3.5404 4.1593 1.1439
3.5752 1.3864 5.9056
3.6429 0.0113 3.5778
3.6429 2.7615 3.5778
5.2668 2.7842 7.5602
5.2668 5.5344 7.5602
5.3344 4.1593 5.2324
5.3693 1.3864 9.9942
5.8324 4.1593 2.5708
7.5322 1.3864 8.1398
7.9953 4.1593 4.4252
8.0301 1.3864 10.8014
8.0977 0.0113 1.9912
8.0977 2.7615 1.9912
```


(12)
Simulated powder diffraction line list of Rb2SbF7 for λ = 1.5418 Å (Cu Kα), from a crystal structure in Alexandria, relaxed with GGA-PBE.
No peak broadening, texture or thermal motion is included.

Peak list (10 most intense, 2θ = 10–90°, by angle)
Position (°2θ), Rel. int.
16.5, 47.5
27.1, 100.0
31.9, 13.9
38.7, 39.8
47.9, 36.1
51.0, 10.3
55.9, 22.9
63.2, 21.5
76.6, 22.2
89.3, 10.3

Crystal structure
```
Rb2SbF7
1.0
0.0000 4.6553 4.6553
4.6553 0.0000 4.6553
4.6553 4.6553 0.0000
Rb Sb F
2 1 7
Cartesian
2.3276 2.3276 2.3276
6.9829 6.9829 6.9829
0.0000 0.0000 0.0000
4.6553 4.6553 1.9414
4.6553 1.9414 4.6553
7.3691 4.6553 4.6553
4.6553 4.6553 4.6553
1.9414 4.6553 4.6553
4.6553 7.3691 4.6553
4.6553 4.6553 7.3691
```